# 1
This entry pairs a crystal structure of MnIn6Br8 with its theoretical powder diffractogram. Radiation: CuKα. Structure: a cell relaxed with PBE.

```
data_MnIn6Br8
_chemical_formula_sum 'Mn3 In18 Br24'
_cell_length_a 9.9162
_cell_length_b 9.9162
_cell_length_c 18.8147
_cell_angle_alpha 90.00
_cell_angle_beta 90.00
_cell_angle_gamma 120.00
_symmetry_space_group_name_H-M 'R -3'
_symmetry_Int_Tables_number 148
_symmetry_space_group_name_Hall '-R 3'
loop_
_atom_site_label
_atom_site_type_symbol
_atom_site_fract_x
_atom_site_fract_y
_atom_site_fract_z
_atom_site_occupancy
Mn1 Mn 0.0000 0.0000 0.0000 1
In1 In 0.0251 0.3931 0.9260 1
Br1 Br 0.0000 0.0000 0.3250 1
Br2 Br 0.0009 0.7751 0.9186 1
```

Top 10 peaks for 2θ = 10–80°, sorted by position:
two_theta, I_rel, hkl
14.12, 45, 0 0 3
22.86, 65, 1 1 3
27.89, 94, 2 1 1
28.46, 57, 0 0 6
29.10, 69, 1 2 2
31.25, 82, 3 0 0
33.54, 69, 3 -1 4
33.82, 100, 1 1 6
36.56, 52, 3 -2 5
39.06, 72, 4 -2 3


# 2
This entry pairs a crystal structure of Si2PAuC with its theoretical powder diffractogram. Radiation: CuKα. Structure: a cell relaxed with PBE.

```
data_Si2PAuC
_chemical_formula_sum 'Si2 P1 Au1 C1'
_cell_length_a 5.420
_cell_length_b 3.159
_cell_length_c 5.474
_cell_angle_alpha 90.00
_cell_angle_beta 109.58
_cell_angle_gamma 90.00
_symmetry_space_group_name_H-M 'P 1 m 1'
_symmetry_Int_Tables_number 6
loop_
_symmetry_equiv_pos_as_xyz
'x,y,z'
'x,-y,z'
loop_
_atom_site_label
_atom_site_type_symbol
_atom_site_fract_x
_atom_site_fract_y
_atom_site_fract_z
_atom_site_occupancy
Si1 Si 0.000 0.000 0.000 1
Si2 Si 0.203 0.500 0.619 1
P1 P 0.298 0.500 0.248 1
Au1 Au 0.654 0.500 0.039 1
C1 C 0.090 0.000 0.702 1
```

Top 10 peaks for 2θ = 10–80°, sorted by position:
two_theta, I_rel, hkl
17.19, 100, 0 0 1
17.37, 32, 1 0 0
19.95, 54, 1 0 -1
28.25, 36, 0 1 0
28.42, 43, 1 0 1
33.30, 77, 1 1 0
34.82, 62, 1 1 -1
40.52, 52, 2 0 -2
44.39, 29, 1 0 2
58.42, 24, 0 2 0


# 3
This entry pairs a crystal structure of Dy4CdRh2Au with its theoretical powder diffractogram. Radiation: CuKα. Structure: a cell relaxed with PBE.

```
data_Dy4CdRh2Au
_chemical_formula_sum 'Dy12 Cd3 Rh6 Au3'
_cell_length_a 5.0167
_cell_length_b 5.0167
_cell_length_c 24.5228
_cell_angle_alpha 90.00
_cell_angle_beta 90.00
_cell_angle_gamma 120.00
_symmetry_space_group_name_H-M 'R -3 m'
_symmetry_Int_Tables_number 166
_symmetry_space_group_name_Hall '-R 3 2"'
loop_
_atom_site_label
_atom_site_type_symbol
_atom_site_fract_x
_atom_site_fract_y
_atom_site_fract_z
_atom_site_occupancy
Dy1 Dy 0.0000 0.0000 0.1223 1
Dy2 Dy 0.0000 0.0000 0.3723 1
Cd1 Cd 0.0000 0.0000 0.5000 1
Rh1 Rh 0.0000 0.0000 0.2462 1
Au1 Au 0.0000 0.0000 0.0000 1
```

Top 10 peaks for 2θ = 10–80°, sorted by position:
two_theta, I_rel, hkl
10.82, 1, 0 0 3
20.76, 1, 1 0 1
21.71, 2, 0 0 6
25.12, 1, 1 0 4
35.82, 100, 1 1 0
51.57, 18, 2 0 8
64.35, 27, 3 0 0
64.47, 8, 1 0 16
75.86, 6, 2 2 0
75.99, 5, 0 2 16


# 4
This entry pairs a crystal structure of PuPaI5 with its theoretical powder diffractogram. Radiation: CuKα. Structure: a cell relaxed with PBE.

```
data_PuPaI5
_chemical_formula_sum 'Pu2 Pa2 I10'
_cell_length_a 9.414
_cell_length_b 4.185
_cell_length_c 15.069
_cell_angle_alpha 90.00
_cell_angle_beta 96.98
_cell_angle_gamma 90.00
_symmetry_space_group_name_H-M 'P 1 21/m 1'
_symmetry_Int_Tables_number 11
loop_
_symmetry_equiv_pos_as_xyz
'x,y,z'
'-x,-y,-z'
'-x,y+1/2,-z'
'x,-y+1/2,z'
loop_
_atom_site_label
_atom_site_type_symbol
_atom_site_fract_x
_atom_site_fract_y
_atom_site_fract_z
_atom_site_occupancy
Pu1 Pu 0.105 0.250 0.144 1
Pa1 Pa 0.415 0.750 0.341 1
I1 I 0.076 0.750 0.304 1
I2 I 0.141 0.250 0.930 1
I3 I 0.321 0.250 0.484 1
I4 I 0.358 0.750 0.130 1
I5 I 0.359 0.750 0.708 1
```

Top 10 peaks for 2θ = 10–80°, sorted by position:
two_theta, I_rel, hkl
10.54, 100, 1 0 -1
26.73, 23, 1 1 2
28.63, 32, 2 1 0
28.73, 31, 1 1 -3
28.78, 17, 2 1 -1
30.01, 18, 3 0 1
30.17, 24, 2 1 -2
37.25, 15, 1 1 -5
39.12, 38, 3 0 -5
43.24, 17, 0 2 0


# 5
This entry pairs a crystal structure of KCa4As with its theoretical powder diffractogram. Radiation: CuKα. Structure: a cell relaxed with PBE.

```
data_KCa4As
_chemical_formula_sum 'K4 Ca16 As4'
_cell_length_a 9.895
_cell_length_b 9.895
_cell_length_c 9.895
_cell_angle_alpha 90.00
_cell_angle_beta 90.00
_cell_angle_gamma 90.00
_symmetry_space_group_name_H-M 'F -4 3 m'
_symmetry_Int_Tables_number 216
_symmetry_space_group_name_Hall 'F -4 2 3'
loop_
_atom_site_label
_atom_site_type_symbol
_atom_site_fract_x
_atom_site_fract_y
_atom_site_fract_z
_atom_site_occupancy
K1 K 0.000 0.000 0.000 1
Ca1 Ca 0.123 0.123 0.377 1
As1 As 0.250 0.250 0.750 1
```

Top 10 peaks for 2θ = 10–80°, sorted by position:
two_theta, I_rel, hkl
25.46, 37, 2 2 0
29.95, 100, 3 1 1
31.32, 31, 2 2 2
44.88, 15, 4 2 2
47.76, 33, 3 3 3
52.30, 27, 4 4 0
61.45, 11, 5 3 3
62.24, 11, 6 2 2
71.33, 7, 6 4 2
73.52, 19, 7 3 1


# 6
This entry pairs a crystal structure of Ba2Eu2ZnPtO8 with its theoretical powder diffractogram. Radiation: CuKα. Structure: a cell relaxed with PBE.

```
data_Ba2Eu2ZnPtO8
_chemical_formula_sum 'Ba8 Eu8 Zn4 Pt4 O32'
_cell_length_a 13.615
_cell_length_b 5.844
_cell_length_c 10.526
_cell_angle_alpha 90.00
_cell_angle_beta 90.00
_cell_angle_gamma 90.00
_symmetry_space_group_name_H-M 'P n m a'
_symmetry_Int_Tables_number 62
loop_
_symmetry_equiv_pos_as_xyz
'x,y,z'
'-x,-y,-z'
'-x+1/2,-y,z+1/2'
'x+1/2,y,-z+1/2'
'x+1/2,-y+1/2,-z+1/2'
'-x+1/2,y+1/2,z+1/2'
'-x,y+1/2,-z'
'x,-y+1/2,z'
loop_
_atom_site_label
_atom_site_type_symbol
_atom_site_fract_x
_atom_site_fract_y
_atom_site_fract_z
_atom_site_occupancy
Ba1 Ba 0.083 0.250 0.102 1
Ba2 Ba 0.217 0.750 0.324 1
Eu1 Eu 0.083 0.250 0.487 1
Eu2 Eu 0.139 0.750 0.690 1
Zn1 Zn 0.026 0.250 0.779 1
Pt1 Pt 0.192 0.750 0.973 1
O1 O 0.005 0.006 0.642 1
O2 O 0.098 0.750 0.124 1
O3 O 0.110 0.506 0.878 1
O4 O 0.211 0.250 0.322 1
O5 O 0.223 0.010 0.559 1
```

Top 10 peaks for 2θ = 10–80°, sorted by position:
two_theta, I_rel, hkl
18.55, 11, 1 1 1
25.92, 10, 3 0 2
26.27, 10, 2 1 2
30.41, 100, 4 1 0
30.59, 36, 0 2 0
31.58, 20, 4 1 1
32.25, 12, 3 0 3
40.52, 12, 3 2 2
45.05, 16, 3 2 3
54.27, 20, 4 3 0


# 7
This entry pairs a crystal structure of BeRhPbO5 with its theoretical powder diffractogram. Radiation: CuKα. Structure: a cell relaxed with PBE.

```
data_BeRhPbO5
_chemical_formula_sum 'Be4 Rh4 Pb4 O20'
_cell_length_a 6.361
_cell_length_b 8.312
_cell_length_c 8.163
_cell_angle_alpha 90.00
_cell_angle_beta 112.82
_cell_angle_gamma 90.00
_symmetry_space_group_name_H-M 'C 1 2/c 1'
_symmetry_Int_Tables_number 15
loop_
_symmetry_equiv_pos_as_xyz
'x,y,z'
'-x,-y,-z'
'-x,y,-z+1/2'
'x,-y,z+1/2'
'x+1/2,y+1/2,z'
'-x+1/2,-y+1/2,-z'
'-x+1/2,y+1/2,-z+1/2'
'x+1/2,-y+1/2,z+1/2'
loop_
_atom_site_label
_atom_site_type_symbol
_atom_site_fract_x
_atom_site_fract_y
_atom_site_fract_z
_atom_site_occupancy
Be1 Be 0.000 0.059 0.250 1
Rh1 Rh 0.000 0.393 0.250 1
Pb1 Pb 0.250 0.250 0.000 1
O1 O 0.000 0.378 0.750 1
O2 O 0.023 0.199 0.401 1
O3 O 0.216 0.068 0.798 1
```

Top 10 peaks for 2θ = 10–80°, sorted by position:
two_theta, I_rel, hkl
18.53, 53, 1 1 -1
21.38, 28, 0 2 0
25.00, 100, 1 1 1
30.53, 39, 2 0 -2
32.09, 44, 0 2 2
34.71, 32, 1 1 -3
35.85, 35, 1 3 -1
37.56, 30, 2 2 0
44.50, 27, 3 1 -1
50.15, 19, 0 4 2


# 8
This entry pairs a crystal structure of TcGe3Rh with its theoretical powder diffractogram. Radiation: CuKα. Structure: a cell relaxed with PBE.

```
data_TcGe3Rh
_chemical_formula_sum 'Tc6 Ge18 Rh6'
_cell_length_a 5.6879
_cell_length_b 5.6879
_cell_length_c 19.0089
_cell_angle_alpha 90.00
_cell_angle_beta 90.00
_cell_angle_gamma 120.00
_symmetry_space_group_name_H-M 'R -3'
_symmetry_Int_Tables_number 148
_symmetry_space_group_name_Hall '-R 3'
loop_
_atom_site_label
_atom_site_type_symbol
_atom_site_fract_x
_atom_site_fract_y
_atom_site_fract_z
_atom_site_occupancy
Tc1 Tc 0.0000 0.0000 0.1675 1
Ge1 Ge 0.0020 0.6453 0.2495 1
Rh1 Rh 0.0000 0.0000 0.3308 1
```

Top 10 peaks for 2θ = 10–80°, sorted by position:
two_theta, I_rel, hkl
20.31, 29, 0 1 2
26.05, 24, 1 0 4
31.46, 11, 1 1 0
34.57, 67, 2 -1 3
37.73, 15, 2 0 2
42.73, 100, 1 1 6
54.08, 18, 1 1 9
56.01, 39, 3 0 0
58.24, 12, 0 0 12
72.92, 19, 4 -2 6